For BaSi2MoO8, a GGA+U-relaxed structure gives the theoretical powder X-ray diffraction pattern in this record (Cu Kα).
Peak positions follow from Bragg's law for the DFT cell and can differ from measured ones.

Main lines, sorted by position (10° ≤ 2θ ≤ 90°):
two_theta	Rel. int.
21.6	15.0
21.9	28.0
25.3	100.0
35.8	22.1
36.3	29.6
42.2	13.0
42.6	22.3
44.7	14.3
58.2	15.1
58.9	15.9

Atomic structure:
```
data_BaSi2MoO8
_symmetry_space_group_name_H-M 'R -3'
_symmetry_Int_Tables_number 148
_symmetry_space_group_name_Hall '-R 3'
_cell_length_a 4.9557
_cell_length_b 4.9557
_cell_length_c 24.7214
_cell_angle_alpha 90.00
_cell_angle_beta 90.00
_cell_angle_gamma 120.00
loop_
_atom_site_label
_atom_site_type_symbol
_atom_site_fract_x
_atom_site_fract_y
_atom_site_fract_z
Ba1 Ba 0.0000 0.0000 0.0000
Si1 Si 0.0000 0.0000 0.2372
Mo1 Mo 0.0000 0.0000 0.5000
O1 O 0.0000 0.0000 0.3017
O2 O 0.0032 0.3810 0.8791
```